Ca2LaCo: simulated powder XRD pattern (copper Kα), based on DFT lattice parameters and positions (PBE).

```
Ca2LaCo
1.0
3.9383 0.0000 0.0000
0.0000 16.8986 0.0000
0.0000 0.0000 3.9376
Ca La Co
4 2 2
Direct
0.0000 0.0809 0.0000
0.0000 0.7522 0.0008
0.5000 0.2478 0.5008
0.5000 0.9191 0.5000
0.0000 0.4178 0.0023
0.5000 0.5822 0.5023
0.0000 0.5911 0.0026
0.5000 0.4089 0.5026
```

The 8 most intense peaks (10 to 80 degrees two-theta), in order of rising 2θ:
2θ 10.47, intensity 48, hkl 0 2 0
2θ 27.64, intensity 94, hkl 1 3 0
2θ 31.77, intensity 50, hkl 0 6 0
2θ 32.15, intensity 100, hkl 1 0 1
2θ 32.59, intensity 43, hkl 1 1 1
2θ 45.82, intensity 70, hkl 1 6 1
2θ 46.10, intensity 35, hkl 2 0 0
2θ 57.07, intensity 35, hkl 2 6 0